Structure and simulated XRD peak list of Mo4As3W2N3 (a crystal structure in OQMD, relaxed with GGA-PBE; Cu Kα).
No peak broadening, texture or thermal motion is included.

Top 10 peaks for 15 to 90 degrees two-theta, sorted by position:
| 2θ (°) | d/Å | I (rel.) |
| --- | --- | --- |
| 18.87 | 4.704 | 18 |
| 32.22 | 2.778 | 18 |
| 32.34 | 2.769 | 26 |
| 32.66 | 2.742 | 71 |
| 38.08 | 2.363 | 73 |
| 39.63 | 2.274 | 55 |
| 40.64 | 2.220 | 100 |
| 44.42 | 2.039 | 20 |
| 44.58 | 2.032 | 35 |
| 58.04 | 1.589 | 35 |

Structural model:
a b c (Å): 9.649 5.488 12.887
angles (deg): 90.00 108.87 90.00
Space group C2/c (No. 15)
Inequivalent atoms, fractional coordinates:
Mo (0.112, 0.065, 0.085) (multiplicity 8)
Mo (0.223, 0.081, 0.406) (multiplicity 8)
As (0.000, 0.101, 0.750) (multiplicity 4)
As (0.176, 0.383, 0.241) (multiplicity 8)
W (0.080, 0.477, 0.894) (multiplicity 8)
N (0.054, 0.298, 0.529) (multiplicity 8)
N (0.250, 0.250, 0.000) (multiplicity 4)

***

Structure and simulated XRD peak list of TmSi2NiGe (a crystal structure in OQMD, relaxed with GGA-PBE; Cu Kα).
No peak broadening, texture or thermal motion is included.

Top 10 peaks for 15 to 90 degrees two-theta, sorted by position:
| 2θ (°) | d/Å | I (rel.) |
| --- | --- | --- |
| 16.64 | 5.329 | 16 |
| 32.32 | 2.770 | 16 |
| 33.94 | 2.641 | 37 |
| 34.50 | 2.600 | 100 |
| 37.27 | 2.413 | 15 |
| 44.60 | 2.032 | 30 |
| 45.94 | 1.976 | 40 |
| 58.30 | 1.583 | 15 |
| 65.99 | 1.416 | 20 |
| 77.58 | 1.231 | 19 |

Structural model:
a b c (Å): 3.954 21.316 3.948
angles (deg): 90.00 90.00 90.00
Space group Cmmm (No. 65)
Inequivalent atoms, fractional coordinates:
Tm (0.000, 0.165, 0.000) (multiplicity 4)
Si (0.000, 0.055, 0.500) (multiplicity 4)
Si (0.000, 0.445, 0.000) (multiplicity 4)
Ni (0.000, 0.393, 0.500) (multiplicity 4)
Ge (0.000, 0.285, 0.500) (multiplicity 4)